[1]
This entry pairs a crystal structure of BaSrGdSbO6 with its theoretical powder X-ray diffraction pattern. Radiation: a wavelength of 1.5418 Å. Structure: a crystal structure in Alexandria, relaxed with PBE.
No peak broadening, texture or thermal motion is included.

Most intense lines, 2θ from 10° to 80°, by angle:
2theta	I/Imax
29.73	98
29.82	100
42.66	37
52.73	28
52.86	28
52.96	27

Structural model:
abc: 6.0031 6.0041 8.4788
angles: 89.78 89.78 89.82
Fractional coordinates of all 20 atoms:
Ba (0.0130, 0.0048, 0.2503)
Ba (0.9870, 0.9952, 0.7497)
Sr (0.4791, 0.5018, 0.7511)
Sr (0.5209, 0.4982, 0.2489)
Gd (0.0000, 0.5000, 0.5000)
Gd (0.5000, 0.0000, 0.0000)
Sb (0.0000, 0.5000, 0.0000)
Sb (0.5000, 0.0000, 0.5000)
O (0.0380, 0.4516, 0.7657)
O (0.2115, 0.7591, 0.9833)
O (0.2444, 0.7852, 0.5218)
O (0.2652, 0.2972, 0.0409)
O (0.2904, 0.2586, 0.4574)
O (0.4857, 0.0675, 0.7340)
O (0.5143, 0.9325, 0.2660)
O (0.7096, 0.7414, 0.5426)
O (0.7348, 0.7028, 0.9591)
O (0.7556, 0.2148, 0.4782)
O (0.7885, 0.2409, 0.0167)
O (0.9620, 0.5484, 0.2343)

***

[2]
This entry pairs a crystal structure of BaGd2ZnO5 with its theoretical powder X-ray diffraction pattern. Radiation: a wavelength of 1.5418 Å. Structure: a crystal structure in Alexandria, relaxed with PBE.
No peak broadening, texture or thermal motion is included.

Most intense lines, 2θ from 10° to 80°, by angle:
2theta	I/Imax
29.00	100
29.95	83
30.73	54
31.00	22
44.22	33
53.58	22

Structural model:
abc: 12.5828 5.8182 7.2325
angles: 90.00 90.00 90.00
Fractional coordinates of all 36 atoms:
Ba (0.1010, 0.2500, 0.0768)
Ba (0.3990, 0.7500, 0.5768)
Ba (0.6010, 0.2500, 0.4232)
Ba (0.8990, 0.7500, 0.9232)
Gd (0.0745, 0.7500, 0.3983)
Gd (0.2078, 0.2500, 0.6176)
Gd (0.2922, 0.7500, 0.1176)
Gd (0.4255, 0.2500, 0.8983)
Gd (0.5745, 0.7500, 0.1017)
Gd (0.7078, 0.2500, 0.8824)
Gd (0.7922, 0.7500, 0.3824)
Gd (0.9255, 0.2500, 0.6017)
Zn (0.1496, 0.7500, 0.8081)
Zn (0.3504, 0.2500, 0.3081)
Zn (0.6496, 0.7500, 0.6919)
Zn (0.8504, 0.2500, 0.1919)
O (0.0658, 0.5036, 0.6653)
O (0.0658, 0.9964, 0.6653)
O (0.0992, 0.7500, 0.0710)
O (0.2247, 0.0024, 0.3551)
O (0.2247, 0.4976, 0.3551)
O (0.2753, 0.5024, 0.8551)
O (0.2753, 0.9976, 0.8551)
O (0.4008, 0.2500, 0.5710)
O (0.4342, 0.0036, 0.1653)
O (0.4342, 0.4964, 0.1653)
O (0.5658, 0.5036, 0.8347)
O (0.5658, 0.9964, 0.8347)
O (0.5992, 0.7500, 0.4290)
O (0.7247, 0.0024, 0.1449)
O (0.7247, 0.4976, 0.1449)
O (0.7753, 0.5024, 0.6449)
O (0.7753, 0.9976, 0.6449)
O (0.9008, 0.2500, 0.9290)
O (0.9342, 0.0036, 0.3347)
O (0.9342, 0.4964, 0.3347)

***

[3]
This entry pairs a crystal structure of BaGdPb4 with its theoretical powder X-ray diffraction pattern. Radiation: a wavelength of 1.5418 Å. Structure: a crystal structure in Alexandria, relaxed with PBE.
No peak broadening, texture or thermal motion is included.

Most intense lines, 2θ from 10° to 80°, by angle:
2theta	I/Imax
31.78	100
33.23	53
50.80	36
55.68	34
66.40	23
78.71	24

Structural model:
abc: 6.6034 6.6034 6.6034
angles: 60.00 60.00 60.00
Fractional coordinates of all 6 atoms:
Ba (0.0000, 0.0000, 0.0000)
Gd (0.2500, 0.2500, 0.2500)
Pb (0.1271, 0.6243, 0.6243)
Pb (0.6243, 0.1271, 0.6243)
Pb (0.6243, 0.6243, 0.1271)
Pb (0.6243, 0.6243, 0.6243)

***

[4]
This entry pairs a crystal structure of BaGd3Re with its theoretical powder X-ray diffraction pattern. Radiation: a wavelength of 1.5418 Å. Structure: a crystal structure in Alexandria, relaxed with PBE.
No peak broadening, texture or thermal motion is included.

Most intense lines, 2θ from 10° to 80°, by angle:
2theta	I/Imax
15.79	38
27.53	55
31.90	100
45.74	74
56.84	26
75.82	33

Structural model:
abc: 5.6110 5.6110 5.6110
angles: 90.00 90.00 90.00
Fractional coordinates of all 5 atoms:
Ba (0.0000, 0.0000, 0.0000)
Gd (0.0000, 0.5000, 0.5000)
Gd (0.5000, 0.0000, 0.5000)
Gd (0.5000, 0.5000, 0.0000)
Re (0.5000, 0.5000, 0.5000)

***

[5]
This entry pairs a crystal structure of BaGd2Se4 with its theoretical powder X-ray diffraction pattern. Radiation: a wavelength of 1.5418 Å. Structure: a crystal structure in Alexandria, relaxed with PBE.
No peak broadening, texture or thermal motion is included.

Most intense lines, 2θ from 10° to 80°, by angle:
2theta	I/Imax
23.74	89
28.11	89
30.09	95
34.40	100
42.32	55
42.38	66

Structural model:
abc: 12.8853 4.2658 15.3424
angles: 90.00 90.00 90.00
Fractional coordinates of all 28 atoms:
Ba (0.2417, 0.2500, 0.1633)
Ba (0.2583, 0.7500, 0.6633)
Ba (0.7417, 0.2500, 0.3367)
Ba (0.7583, 0.7500, 0.8367)
Gd (0.0670, 0.2500, 0.3912)
Gd (0.0791, 0.2500, 0.8994)
Gd (0.4209, 0.7500, 0.3994)
Gd (0.4330, 0.7500, 0.8912)
Gd (0.5670, 0.2500, 0.1088)
Gd (0.5791, 0.2500, 0.6006)
Gd (0.9209, 0.7500, 0.1006)
Gd (0.9330, 0.7500, 0.6088)
Se (0.0226, 0.7500, 0.7833)
Se (0.0834, 0.2500, 0.5780)
Se (0.1273, 0.7500, 0.0245)
Se (0.2073, 0.7500, 0.3331)
Se (0.2927, 0.2500, 0.8331)
Se (0.3727, 0.2500, 0.5245)
Se (0.4166, 0.7500, 0.0780)
Se (0.4774, 0.2500, 0.2833)
Se (0.5226, 0.7500, 0.7167)
Se (0.5834, 0.2500, 0.9220)
Se (0.6273, 0.7500, 0.4755)
Se (0.7073, 0.7500, 0.1669)
Se (0.7927, 0.2500, 0.6669)
Se (0.8727, 0.2500, 0.9755)
Se (0.9166, 0.7500, 0.4220)
Se (0.9774, 0.2500, 0.2167)

***

[6]
This entry pairs a crystal structure of Ba3Ge4 with its theoretical powder X-ray diffraction pattern. Radiation: a wavelength of 1.5418 Å. Structure: a crystal structure in Alexandria, relaxed with PBE.
No peak broadening, texture or thermal motion is included.

Most intense lines, 2θ from 10° to 80°, by angle:
2theta	I/Imax
25.38	80
27.76	33
32.19	100
32.30	37
37.40	39
44.83	34

Structural model:
abc: 8.5729 8.5729 12.2435
angles: 90.00 90.00 92.12
Fractional coordinates of all 28 atoms:
Ba (0.0000, 0.0000, 0.1611)
Ba (0.0000, 0.0000, 0.8389)
Ba (0.0000, 0.5000, 0.2563)
Ba (0.0000, 0.5000, 0.7437)
Ba (0.1586, 0.8414, 0.5000)
Ba (0.3363, 0.3363, 0.0000)
Ba (0.5000, 0.0000, 0.2563)
Ba (0.5000, 0.0000, 0.7437)
Ba (0.5000, 0.5000, 0.3250)
Ba (0.5000, 0.5000, 0.6750)
Ba (0.6637, 0.6637, 0.0000)
Ba (0.8414, 0.1586, 0.5000)
Ge (0.0620, 0.6586, 0.0000)
Ge (0.1977, 0.1977, 0.3490)
Ge (0.1977, 0.1977, 0.6510)
Ge (0.1994, 0.4117, 0.5000)
Ge (0.2965, 0.7035, 0.1361)
Ge (0.2965, 0.7035, 0.8639)
Ge (0.3414, 0.9380, 0.0000)
Ge (0.4117, 0.1994, 0.5000)
Ge (0.5883, 0.8006, 0.5000)
Ge (0.6586, 0.0620, 0.0000)
Ge (0.7035, 0.2965, 0.1361)
Ge (0.7035, 0.2965, 0.8639)
Ge (0.8006, 0.5883, 0.5000)
Ge (0.8023, 0.8023, 0.3490)
Ge (0.8023, 0.8023, 0.6510)
Ge (0.9380, 0.3414, 0.0000)

***

[7]
This entry pairs a crystal structure of BaGe4 with its theoretical powder X-ray diffraction pattern. Radiation: a wavelength of 1.5418 Å. Structure: a crystal structure in Alexandria, relaxed with PBE.
No peak broadening, texture or thermal motion is included.

Most intense lines, 2θ from 10° to 80°, by angle:
2theta	I/Imax
15.37	50
21.81	45
26.79	30
31.03	100
44.46	73
73.48	32

Structural model:
abc: 5.7634 5.7634 5.7634
angles: 90.00 90.00 90.00
Fractional coordinates of all 5 atoms:
Ba (0.0000, 0.0000, 0.0000)
Ge (0.0000, 0.0000, 0.5000)
Ge (0.0000, 0.5000, 0.0000)
Ge (0.5000, 0.0000, 0.0000)
Ge (0.5000, 0.5000, 0.5000)

***

[8]
This entry pairs a crystal structure of BaGe5 with its theoretical powder X-ray diffraction pattern. Radiation: a wavelength of 1.5418 Å. Structure: a crystal structure in Alexandria, relaxed with PBE.
No peak broadening, texture or thermal motion is included.

Most intense lines, 2θ from 10° to 80°, by angle:
2theta	I/Imax
28.61	97
32.00	69
32.89	61
33.16	100
37.33	78
50.56	95

Structural model:
abc: 8.5996 8.5996 8.5996
angles: 147.47 120.31 69.65
Fractional coordinates of all 12 atoms:
Ba (0.2820, 0.0320, 0.2500)
Ba (0.7180, 0.9680, 0.7500)
Ge (0.0965, 0.1943, 0.9022)
Ge (0.1007, 0.6212, 0.4795)
Ge (0.2080, 0.8057, 0.4022)
Ge (0.3584, 0.3788, 0.9795)
Ge (0.4606, 0.7106, 0.7500)
Ge (0.5394, 0.2894, 0.2500)
Ge (0.6416, 0.6212, 0.0205)
Ge (0.7920, 0.1943, 0.5978)
Ge (0.8993, 0.3788, 0.5205)
Ge (0.9035, 0.8057, 0.0978)